Structure and simulated XRD peak list of Pu2SiO5 (a GGA-PBE-relaxed structure; Cu Kα X-rays).

Main lines, in order of rising 2θ (2θ = 10–90°):
d/Å	two_theta	I/Imax	hkl
5.575	15.9	100	1 0 1
3.673	24.2	67	1 0 3
3.452	25.8	35	0 0 4
2.788	32.1	77	2 0 2
2.674	33.5	43	2 1 1
2.345	38.4	36	2 1 3
2.155	41.9	26	2 2 0
1.836	49.6	34	2 0 6
1.828	49.9	35	2 2 4
1.337	70.4	25	4 2 2

Structural model:
a b c (Å): 6.0940 6.0940 13.8073
angles (deg): 90.00 90.00 90.00
Space group I4_1/amd (No. 141, origin choice 2)
Asymmetric unit:
Pu1 0.0000 0.0000 0.0000 x8
Si1 0.0000 0.2500 0.3750 x4
O1 0.0000 0.0198 0.3095 x16
O2 0.0000 0.2500 0.8750 x4